No. 1
Diffraction record for LaNiO2. The powder XRD pattern is theoretical, not measured: it uses a crystal structure in the Materials Project, relaxed with PBE+U and Cu Kα X-rays.

Crystal structure
Cell: 4.002 4.002 3.339 Å, 90.00 90.00 90.00°
Sites, in units of the cell vectors:
La 0.000 0.000 0.000
Ni 0.500 0.500 0.500
O 0.000 0.500 0.500
O 0.500 0.000 0.500

Largest 8 diffraction maxima, in order of rising 2θ, 2θ = 10–90°:
| 2theta | I_rel |
| --- | --- |
| 22.21 | 20 |
| 31.62 | 45 |
| 35.00 | 100 |
| 41.85 | 16 |
| 45.32 | 32 |
| 58.52 | 44 |
| 64.85 | 12 |
| 73.95 | 13 |

---

No. 2
Diffraction record for K2RbGdMgV2O8. The powder XRD pattern is theoretical, not measured: it uses a crystal structure in the Materials Project, relaxed with PBE+U and Cu Kα X-rays.

Crystal structure
Cell: 6.247 6.247 7.885 Å, 95.42 95.42 58.39°
Sites, in units of the cell vectors:
K 0.000 0.000 0.000
K 0.741 0.741 0.342
Rb 0.285 0.285 0.734
Gd 0.342 0.342 0.178
Mg 0.517 0.517 0.533
V 0.039 0.039 0.454
V 0.655 0.655 0.924
O 0.031 0.031 0.672
O 0.186 0.186 0.367
O 0.218 0.692 0.380
O 0.505 0.505 0.002
O 0.510 0.978 0.023
O 0.661 0.661 0.694
O 0.692 0.218 0.380
O 0.978 0.510 0.023

Largest 8 diffraction maxima, in order of rising 2θ, 2θ = 10–90°:
| 2theta | I_rel |
| --- | --- |
| 16.69 | 93 |
| 18.87 | 63 |
| 27.56 | 79 |
| 28.72 | 100 |
| 29.31 | 99 |
| 29.53 | 66 |
| 29.92 | 60 |
| 42.10 | 83 |